The following is a computed powder diffraction line list of LiNd2SnO. It was derived from a structure optimized by DFT (PBE), using Cu Ka.
No peak broadening, texture or thermal motion is included.

Structural model:
a b c (Å): 4.958 4.958 4.416
angles (deg): 90.00 90.00 90.00
Fractional positions:
Li1 0.000 0.000 0.000
Nd1 0.000 0.500 0.500
Nd2 0.500 0.000 0.500
Sn1 0.500 0.500 0.000
O1 0.000 0.000 0.500

Most intense lines, 15 to 90 degrees two-theta, by angle:
d_spacing  I_rel
4.958  12.7
4.416  17.4
3.298  18.2
2.746  100.0
2.479  44.3
2.208  15.9
1.753  15.6
1.649  25.5
1.478  31.3
1.373  13.8

***

The following is a computed powder diffraction line list of LiNdTiO4. It was derived from a structure optimized by DFT (PBE), using Cu Ka.
No peak broadening, texture or thermal motion is included.

Structural model:
a b c (Å): 3.743 3.743 12.270
angles (deg): 90.00 90.00 90.00
Fractional positions:
Li1 0.250 0.750 0.000
Li2 0.750 0.250 0.000
Nd1 0.250 0.250 0.384
Nd2 0.750 0.750 0.616
Ti1 0.250 0.250 0.790
Ti2 0.750 0.750 0.210
O1 0.250 0.250 0.575
O2 0.250 0.250 0.937
O3 0.250 0.750 0.251
O4 0.250 0.750 0.749
O5 0.750 0.250 0.251
O6 0.750 0.250 0.749
O7 0.750 0.750 0.063
O8 0.750 0.750 0.425

Most intense lines, 15 to 90 degrees two-theta, by angle:
d_spacing  I_rel
3.195  100.0
2.761  35.9
2.647  38.6
2.587  20.9
2.454  14.8
2.004  24.1
1.872  25.7
1.800  20.3
1.615  26.5
1.549  13.5

***

The following is a computed powder diffraction line list of LiNd2ZnO5. It was derived from a structure optimized by DFT (PBE), using Cu Ka.
No peak broadening, texture or thermal motion is included.

Structural model:
a b c (Å): 6.735 6.735 5.791
angles (deg): 90.00 90.00 90.00
Fractional positions:
Li1 0.000 0.000 0.000
Li2 0.500 0.500 0.000
Nd1 0.175 0.325 0.500
Nd2 0.325 0.825 0.500
Nd3 0.675 0.175 0.500
Nd4 0.825 0.675 0.500
Zn1 0.000 0.500 0.000
Zn2 0.500 0.000 0.000
O1 0.000 0.000 0.500
O2 0.136 0.636 0.245
O3 0.136 0.636 0.755
O4 0.364 0.136 0.245
O5 0.364 0.136 0.755
O6 0.500 0.500 0.500
O7 0.636 0.864 0.245
O8 0.636 0.864 0.755
O9 0.864 0.364 0.245
O10 0.864 0.364 0.755

Most intense lines, 15 to 90 degrees two-theta, by angle:
d_spacing  I_rel
5.791  99.3
4.763  47.5
3.012  38.2
2.911  75.2
2.895  34.9
2.672  100.0
2.087  72.4
1.999  43.1
1.625  21.2
1.572  27.3

***

The following is a computed powder diffraction line list of LiNd4Os. It was derived from a structure optimized by DFT (PBE), using Cu Ka.
No peak broadening, texture or thermal motion is included.

Structural model:
a b c (Å): 8.180 8.180 8.180
angles (deg): 106.69 106.69 115.20
Fractional positions:
Li1 0.000 0.000 0.000
Li2 0.750 0.250 0.500
Nd1 0.035 0.343 0.308
Nd2 0.035 0.726 0.692
Nd3 0.093 0.285 0.808
Nd4 0.476 0.285 0.192
Nd5 0.490 0.203 0.713
Nd6 0.490 0.776 0.287
Nd7 0.526 0.740 0.787
Nd8 0.953 0.740 0.213
Os1 0.267 0.767 0.500
Os2 0.517 0.517 0.000

Most intense lines, 15 to 90 degrees two-theta, by angle:
d_spacing  I_rel
4.884  31.0
3.453  18.2
3.262  100.0
3.089  31.9
2.525  40.9
2.442  30.4
2.429  16.4
2.038  40.2
1.955  19.7
1.231  15.7

***

The following is a computed powder diffraction line list of LiNdP2Pt7. It was derived from a structure optimized by DFT (PBE), using Cu Ka.
No peak broadening, texture or thermal motion is included.

Structural model:
a b c (Å): 12.752 12.752 12.752
angles (deg): 161.35 161.35 26.50
Fractional positions:
Li1 0.000 0.000 0.000
Nd1 0.250 0.750 0.500
P1 0.612 0.112 0.500
P2 0.888 0.388 0.500
Pt1 0.160 0.160 0.000
Pt2 0.339 0.339 0.000
Pt3 0.525 0.025 0.500
Pt4 0.661 0.661 0.000
Pt5 0.750 0.250 0.500
Pt6 0.840 0.840 0.000
Pt7 0.975 0.475 0.500

Most intense lines, 15 to 90 degrees two-theta, by angle:
d_spacing  I_rel
4.138  25.6
2.644  100.0
2.483  14.6
2.387  52.0
2.128  20.7
2.067  60.8
1.588  15.2
1.462  28.7
1.279  21.5
1.247  26.5

***

The following is a computed powder diffraction line list of LiNdPaSe4. It was derived from a structure optimized by DFT (PBE), using Cu Ka.
No peak broadening, texture or thermal motion is included.

Structural model:
a b c (Å): 8.441 8.441 8.441
angles (deg): 120.41 119.78 89.84
Fractional positions:
Li1 0.370 0.120 0.250
Li2 0.630 0.880 0.750
Nd1 0.000 0.500 0.500
Nd2 0.500 0.500 0.000
Pa1 0.000 0.000 0.500
Pa2 0.000 0.500 0.000
Se1 0.233 0.749 0.484
Se2 0.235 0.251 0.984
Se3 0.238 0.241 0.503
Se4 0.238 0.734 0.997
Se5 0.762 0.266 0.003
Se6 0.762 0.759 0.497
Se7 0.765 0.749 0.016
Se8 0.767 0.251 0.516

Most intense lines, 15 to 90 degrees two-theta, by angle:
d_spacing  I_rel
3.604  25.3
3.585  23.1
2.983  100.0
2.299  21.6
2.117  12.7
2.110  50.7
2.097  12.8
1.728  12.8
1.717  13.1
1.221  12.1

***

The following is a computed powder diffraction line list of Li2NdSc2Pb2. It was derived from a structure optimized by DFT (PBE), using Cu Ka.
No peak broadening, texture or thermal motion is included.

Structural model:
a b c (Å): 9.006 9.006 9.006
angles (deg): 30.77 30.77 30.77
Fractional positions:
Li1 0.070 0.070 0.070
Li2 0.930 0.930 0.930
Nd1 0.500 0.500 0.500
Sc1 0.365 0.365 0.365
Sc2 0.635 0.635 0.635
Pb1 0.243 0.243 0.243
Pb2 0.757 0.757 0.757

Most intense lines, 15 to 90 degrees two-theta, by angle:
d_spacing  I_rel
4.086  23.1
3.939  45.7
3.480  100.0
2.748  36.1
2.539  75.4
2.389  76.5
1.970  21.9
1.740  24.3
1.595  20.1
1.407  24.1

***

The following is a computed powder diffraction line list of Li2NdSm2Pb2. It was derived from a structure optimized by DFT (PBE), using Cu Ka.
No peak broadening, texture or thermal motion is included.

Structural model:
a b c (Å): 9.660 9.660 9.660
angles (deg): 29.32 29.32 29.32
Fractional positions:
Li1 0.094 0.094 0.094
Li2 0.906 0.906 0.906
Nd1 0.500 0.500 0.500
Sm1 0.370 0.370 0.370
Sm2 0.630 0.630 0.630
Pb1 0.237 0.237 0.237
Pb2 0.763 0.763 0.763

Most intense lines, 15 to 90 degrees two-theta, by angle:
d_spacing  I_rel
4.185  51.3
4.049  35.6
2.892  83.4
2.681  99.0
2.445  100.0
1.867  23.8
1.806  31.3
1.484  22.6
1.474  38.4
1.453  30.8

***

The following is a computed powder diffraction line list of Li2Nd2Pd5. It was derived from a structure optimized by DFT (PBE), using Cu Ka.
No peak broadening, texture or thermal motion is included.

Structural model:
a b c (Å): 4.439 4.439 8.329
angles (deg): 90.00 90.00 90.00
Fractional positions:
Li1 0.000 0.000 0.148
Li2 0.000 0.000 0.852
Nd1 0.500 0.500 0.000
Nd2 0.500 0.500 0.500
Pd1 0.000 0.000 0.500
Pd2 0.000 0.500 0.260
Pd3 0.000 0.500 0.740
Pd4 0.500 0.000 0.260
Pd5 0.500 0.000 0.740

Most intense lines, 15 to 90 degrees two-theta, by angle:
d_spacing  I_rel
4.439  9.1
3.037  8.3
2.507  100.0
2.220  36.5
2.082  17.2
1.570  12.2
1.519  20.1
1.330  26.5
1.270  11.0
1.253  11.7

***

The following is a computed powder diffraction line list of LiNd2Pd4. It was derived from a structure optimized by DFT (PBE), using Cu Ka.
No peak broadening, texture or thermal motion is included.

Structural model:
a b c (Å): 6.115 5.993 5.980
angles (deg): 61.43 59.39 59.18
Fractional positions:
Li1 0.000 0.000 0.000
Nd1 0.250 0.250 0.250
Nd2 0.750 0.750 0.750
Pd1 0.278 0.278 0.722
Pd2 0.279 0.721 0.279
Pd3 0.721 0.279 0.721
Pd4 0.722 0.722 0.278

Most intense lines, 15 to 90 degrees two-theta, by angle:
d_spacing  I_rel
4.324  33.1
2.991  34.2
2.460  100.0
2.167  16.6
2.158  16.1
2.070  16.7
1.497  10.1
1.494  9.9
1.300  9.7
1.258  11.7